Structure and calculated powder diffraction line list of CaPr2NdTe4 (a PBE-relaxed structure; Cu Kα X-rays).
Lines closer than 0.1° are merged.

Most intense lines, 2θ = 5–70°, in order of rising 2θ:
2θ = 11.93°, intensity 3, hkl 1 0 0; 2θ = 27.95°, intensity 100, hkl 1 1 1; 2θ = 39.55°, intensity 13, hkl 2 0 2; 2θ = 39.94°, intensity 51, hkl 3 1 -1; 2θ = 40.30°, intensity 12, hkl 0 2 0; 2θ = 49.13°, intensity 14, hkl 4 0 0; 2θ = 49.76°, intensity 13, hkl 2 2 -2; 2θ = 57.76°, intensity 13, hkl 2 2 2; 2θ = 64.81°, intensity 6, hkl 3 1 3; 2θ = 65.35°, intensity 17, hkl 4 2 0; 2θ = 65.42°, intensity 6, hkl 5 1 -3; 2θ = 65.87°, intensity 6, hkl 1 3 1

Crystal structure
```
data_CaPr2NdTe4
_chemical_formula_sum 'Ca1 Pr2 Nd1 Te4'
_cell_length_a 7.8358
_cell_length_b 4.4762
_cell_length_c 7.8475
_cell_angle_alpha 90.00
_cell_angle_beta 108.94
_cell_angle_gamma 90.00
_symmetry_space_group_name_H-M 'P 1 2/m 1'
_symmetry_Int_Tables_number 10
loop_
_symmetry_equiv_pos_as_xyz
'x,y,z'
'-x,-y,-z'
'-x,y,-z'
'x,-y,z'
loop_
_atom_site_label
_atom_site_type_symbol
_atom_site_fract_x
_atom_site_fract_y
_atom_site_fract_z
_atom_site_occupancy
Ca1 Ca 0.0000 0.0000 0.0000 1
Pr1 Pr 0.0000 0.5000 0.5000 1
Pr2 Pr 0.5000 0.0000 0.5000 1
Nd1 Nd 0.5000 0.5000 0.0000 1
Te1 Te 0.2450 0.5000 0.2433 1
Te2 Te 0.2482 0.0000 0.7552 1
```